# 1
Diffraction record for LiY3. The PXRD pattern is computed, not measured: it uses a DFT-relaxed cell (PBE, the Materials Project) and CuKα.
No peak broadening, texture or thermal motion is included.

Peak list (6 most intense, 2θ from 10° to 90°, in order of rising 2θ)
- 2θ = 20.53°, d = 4.326 Å, intensity 26
- 2θ = 31.56°, d = 2.835 Å, intensity 100
- 2θ = 33.65°, d = 2.663 Å, intensity 19
- 2θ = 38.01°, d = 2.367 Å, intensity 27
- 2θ = 51.66°, d = 1.769 Å, intensity 22
- 2θ = 64.67°, d = 1.441 Å, intensity 23

Structural model:
Lattice parameters (Å, degrees): 6.2913 6.2913 6.2913 135.79 135.79 64.30
Sites, in units of the cell vectors:
Li 0.0000 0.0000 0.0000
Y 0.2500 0.7500 0.5000
Y 0.5000 0.5000 0.0000
Y 0.7500 0.2500 0.5000

# 2
Diffraction record for Ca3Ga2Ge4O14. The PXRD pattern is computed, not measured: it uses a DFT-relaxed cell (PBE, the Materials Project) and CuKα.
No peak broadening, texture or thermal motion is included.

Peak list (6 most intense, 2θ from 10° to 90°, in order of rising 2θ)
- 2θ = 21.72°, d = 4.091 Å, intensity 80
- 2θ = 30.78°, d = 2.905 Å, intensity 100
- 2θ = 30.99°, d = 2.886 Å, intensity 88
- 2θ = 33.46°, d = 2.678 Å, intensity 64
- 2θ = 38.07°, d = 2.364 Å, intensity 89
- 2θ = 59.80°, d = 1.546 Å, intensity 67

Structural model:
Lattice parameters (Å, degrees): 8.1807 8.1807 5.0283 90.53 90.53 60.03
Sites, in units of the cell vectors:
Ca 0.0000 0.0000 0.0000
Ca 0.4123 0.1646 0.0008
Ca 0.8354 0.5877 0.9992
Ga 0.1774 0.5868 0.5051
Ga 0.4132 0.8226 0.4949
Ge 0.0827 0.2531 0.4691
Ge 0.4091 0.5909 0.0000
Ge 0.6544 0.3456 0.5000
Ge 0.7469 0.9173 0.5309
O 0.0796 0.2522 0.8117
O 0.0972 0.4383 0.3086
O 0.2002 0.7228 0.2308
O 0.2639 0.0500 0.3054
O 0.2772 0.7998 0.7692
O 0.3440 0.4437 0.7740
O 0.4975 0.3653 0.2417
O 0.5563 0.6560 0.2260
O 0.5617 0.9028 0.6914
O 0.6347 0.5025 0.7583
O 0.7291 0.1276 0.6840
O 0.7478 0.9204 0.1883
O 0.8724 0.2709 0.3160
O 0.9500 0.7361 0.6946

What did the first record say?
Diffraction record for LiY3. The PXRD pattern is computed, not measured: it uses a DFT-relaxed cell (PBE, the Materials Project) and CuKα.
No peak broadening, texture or thermal motion is included.

Peak list (6 most intense, 2θ from 10° to 90°, in order of rising 2θ)
- 2θ = 20.53°, d = 4.326 Å, intensity 26
- 2θ = 31.56°, d = 2.835 Å, intensity 100
- 2θ = 33.65°, d = 2.663 Å, intensity 19
- 2θ = 38.01°, d = 2.367 Å, intensity 27
- 2θ = 51.66°, d = 1.769 Å, intensity 22
- 2θ = 64.67°, d = 1.441 Å, intensity 23

Structural model:
Lattice parameters (Å, degrees): 6.2913 6.2913 6.2913 135.79 135.79 64.30
Sites, in units of the cell vectors:
Li 0.0000 0.0000 0.0000
Y 0.2500 0.7500 0.5000
Y 0.5000 0.5000 0.0000
Y 0.7500 0.2500 0.5000

What is the formula in the first record?
LiY3

Copy entry 2 word for word.
Diffraction record for Ca3Ga2Ge4O14. The PXRD pattern is computed, not measured: it uses a DFT-relaxed cell (PBE, the Materials Project) and CuKα.
No peak broadening, texture or thermal motion is included.

Peak list (6 most intense, 2θ from 10° to 90°, in order of rising 2θ)
- 2θ = 21.72°, d = 4.091 Å, intensity 80
- 2θ = 30.78°, d = 2.905 Å, intensity 100
- 2θ = 30.99°, d = 2.886 Å, intensity 88
- 2θ = 33.46°, d = 2.678 Å, intensity 64
- 2θ = 38.07°, d = 2.364 Å, intensity 89
- 2θ = 59.80°, d = 1.546 Å, intensity 67

Structural model:
Lattice parameters (Å, degrees): 8.1807 8.1807 5.0283 90.53 90.53 60.03
Sites, in units of the cell vectors:
Ca 0.0000 0.0000 0.0000
Ca 0.4123 0.1646 0.0008
Ca 0.8354 0.5877 0.9992
Ga 0.1774 0.5868 0.5051
Ga 0.4132 0.8226 0.4949
Ge 0.0827 0.2531 0.4691
Ge 0.4091 0.5909 0.0000
Ge 0.6544 0.3456 0.5000
Ge 0.7469 0.9173 0.5309
O 0.0796 0.2522 0.8117
O 0.0972 0.4383 0.3086
O 0.2002 0.7228 0.2308
O 0.2639 0.0500 0.3054
O 0.2772 0.7998 0.7692
O 0.3440 0.4437 0.7740
O 0.4975 0.3653 0.2417
O 0.5563 0.6560 0.2260
O 0.5617 0.9028 0.6914
O 0.6347 0.5025 0.7583
O 0.7291 0.1276 0.6840
O 0.7478 0.9204 0.1883
O 0.8724 0.2709 0.3160
O 0.9500 0.7361 0.6946